# 1
The following is a theoretical X-ray diffraction stick pattern of Co3As2O8. It was derived from a structure optimized by DFT (GGA+U), using Cu Kα X-rays.
Intensities are scaled so that the largest is 100.

Crystal structure
```
data_Co3As2O8
_cell_length_a 6.9105
_cell_length_b 6.9105
_cell_length_c 18.8744
_cell_angle_alpha 90.00
_cell_angle_beta 90.00
_cell_angle_gamma 90.00
_space_group_name_H-M_alt 'I -4'
_space_group_IT_number 82
loop_
_space_group_symop_operation_xyz
'x,y,z'
'y,-x,-z'
'-x,-y,z'
'-y,x,-z'
'x+1/2,y+1/2,z+1/2'
'y+1/2,-x+1/2,-z+1/2'
'-x+1/2,-y+1/2,z+1/2'
'-y+1/2,x+1/2,-z+1/2'
loop_
_atom_site_label
_atom_site_type_symbol
_atom_site_fract_x
_atom_site_fract_y
_atom_site_fract_z
Co1 Co 0.0000 0.0000 0.0000
Co2 Co 0.0000 0.0000 0.2734
Co3 Co 0.0000 0.5000 0.5250
Co4 Co 0.2464 0.7521 0.3735
As1 As 0.0000 0.0000 0.5000
As2 As 0.0000 0.5000 0.7500
As3 As 0.1560 0.7526 0.1262
O1 O 0.0058 0.2739 0.0531
O2 O 0.0121 0.2037 0.1920
O3 O 0.0394 0.2761 0.9003
O4 O 0.0456 0.2162 0.3568
O5 O 0.0476 0.2861 0.7053
O6 O 0.0578 0.2151 0.5430
```

Largest 10 diffraction maxima, by intensity, 15 to 90 degrees two-theta:
index  Position (°2θ)  I_rel
2 0 4  32.11  100
2 1 1  29.28  24
1 0 5  26.91  19
2 2 8  54.02  18
4 0 0  53.00  14
2 4 4  63.33  12
2 2 0  36.79  12
0 0 8  38.14  10
2 3 5  53.63  10
1 2 3  32.27  8



# 2
The following is a theoretical X-ray diffraction stick pattern of Co2As2O7. It was derived from a structure optimized by DFT (GGA+U), using Cu Kα X-rays.
Intensities are scaled so that the largest is 100.

Crystal structure
```
data_Co2As2O7
_cell_length_a 4.8876
_cell_length_b 5.4241
_cell_length_c 5.4277
_cell_angle_alpha 106.77
_cell_angle_beta 97.06
_cell_angle_gamma 97.07
_space_group_name_H-M_alt 'P 1'
_space_group_IT_number 1
loop_
_space_group_symop_operation_xyz
'x,y,z'
loop_
_atom_site_label
_atom_site_type_symbol
_atom_site_fract_x
_atom_site_fract_y
_atom_site_fract_z
Co1 Co 0.0000 0.0000 0.0000
Co2 Co 0.0006 0.3829 0.6158
As1 As 0.4091 0.9076 0.5235
As2 As 0.6079 0.4303 0.0459
O1 O 0.2158 0.0769 0.3679
O2 O 0.2168 0.7506 0.6921
O3 O 0.2572 0.3101 0.9266
O4 O 0.5942 0.7094 0.3218
O5 O 0.7038 0.1132 0.7294
O6 O 0.7911 0.2730 0.2302
O7 O 0.7916 0.6140 0.8880
```

Largest 10 diffraction maxima, by intensity, 15 to 90 degrees two-theta:
index  Position (°2θ)  I_rel
1 -1 1  27.70  100
1 1 0  27.56  45
-1 1 1  30.47  44
0 0 2  35.04  30
2 -1 2  53.91  25
-1 2 1  44.42  19
2 0 -2  47.49  13
2 -1 0  38.81  12
3 -2 1  65.78  12
0 1 -1  20.39  11



# 3
The following is a theoretical X-ray diffraction stick pattern of Co2AsO5. It was derived from a structure optimized by DFT (GGA+U), using Cu Kα X-rays.
Intensities are scaled so that the largest is 100.

Crystal structure
```
data_Co2AsO5
_cell_length_a 8.4890
_cell_length_b 8.5694
_cell_length_c 5.8394
_cell_angle_alpha 90.00
_cell_angle_beta 90.00
_cell_angle_gamma 90.00
_space_group_name_H-M_alt 'P n n m'
_space_group_IT_number 58
loop_
_space_group_symop_operation_xyz
'x,y,z'
'-x,-y,-z'
'-x,-y,z'
'x,y,-z'
'x+1/2,-y+1/2,-z+1/2'
'-x+1/2,y+1/2,z+1/2'
'-x+1/2,y+1/2,-z+1/2'
'x+1/2,-y+1/2,z+1/2'
loop_
_atom_site_label
_atom_site_type_symbol
_atom_site_fract_x
_atom_site_fract_y
_atom_site_fract_z
Co1 Co 0.0000 0.0000 0.2397
Co2 Co 0.1546 0.3800 0.5000
As1 As 0.2368 0.7487 0.5000
O1 O 0.0963 0.6047 0.5000
O2 O 0.1213 0.9326 0.0000
O3 O 0.1325 0.9267 0.5000
O4 O 0.1445 0.2352 0.2372
```

Largest 10 diffraction maxima, by intensity, 15 to 90 degrees two-theta:
index  Position (°2θ)  I_rel
0 1 1  18.41  100
2 2 0  29.63  97
1 3 1  36.59  60
1 1 1  21.18  55
2 0 2  37.38  52
4 2 2  57.87  42
1 1 2  34.12  39
3 1 0  33.38  36
3 1 1  36.82  28
1 3 0  33.09  27



# 4
The following is a theoretical X-ray diffraction stick pattern of CoAs2O4. It was derived from a structure optimized by DFT (GGA+U), using Cu Kα X-rays.
Intensities are scaled so that the largest is 100.

Crystal structure
```
data_CoAs2O4
_cell_length_a 8.5053
_cell_length_b 8.5053
_cell_length_c 5.7622
_cell_angle_alpha 90.00
_cell_angle_beta 90.00
_cell_angle_gamma 90.00
_space_group_name_H-M_alt 'P 42/m b c'
_space_group_IT_number 135
_space_group_name_Hall '-P 4c 2ab'
loop_
_atom_site_label
_atom_site_type_symbol
_atom_site_fract_x
_atom_site_fract_y
_atom_site_fract_z
Co1 Co 0.0000 0.5000 0.2500
As1 As 0.1698 0.1898 0.0000
O1 O 0.1044 0.3660 0.5000
O2 O 0.1874 0.6874 0.2500
```

Largest 10 diffraction maxima, by intensity, 15 to 90 degrees two-theta:
index  Position (°2θ)  I_rel
2 1 1  28.11  100
4 1 1  46.77  43
2 2 0  29.71  38
2 0 2  37.71  37
3 3 2  55.87  30
3 1 0  33.31  27
2 1 3  53.44  16
2 0 0  20.89  16
1 1 2  34.52  16
5 1 2  64.56  15



# 5
The following is a theoretical X-ray diffraction stick pattern of CoAs2PtO8. It was derived from a structure optimized by DFT (GGA+U), using Cu Kα X-rays.
Intensities are scaled so that the largest is 100.

Crystal structure
```
data_CoAs2PtO8
_cell_length_a 5.5067
_cell_length_b 5.5067
_cell_length_c 5.8680
_cell_angle_alpha 90.00
_cell_angle_beta 90.00
_cell_angle_gamma 120.00
_space_group_name_H-M_alt 'P -3 m 1'
_space_group_IT_number 164
_space_group_name_Hall '-P 3 2"'
loop_
_atom_site_label
_atom_site_type_symbol
_atom_site_fract_x
_atom_site_fract_y
_atom_site_fract_z
Co1 Co 0.0000 0.0000 0.0000
As1 As 0.3333 0.6667 0.1822
Pt1 Pt 0.0000 0.0000 0.5000
O1 O 0.1524 0.3049 0.2560
O2 O 0.3333 0.6667 0.9015
```

Largest 10 diffraction maxima, by intensity, 15 to 90 degrees two-theta:
index  Position (°2θ)  I_rel
1 0 1  24.05  100
1 1 0  32.52  82
1 0 0  18.61  67
0 1 2  35.94  60
2 0 2  49.24  38
1 2 2  60.26  33
2 1 1  53.16  25
0 2 1  40.85  16
1 1 3  57.82  16
3 0 0  58.02  15



# 6
The following is a theoretical X-ray diffraction stick pattern of VCo3AsO8. It was derived from a structure optimized by DFT (GGA+U), using Cu Kα X-rays.
Intensities are scaled so that the largest is 100.

Crystal structure
```
data_VCo3AsO8
_cell_length_a 11.6249
_cell_length_b 6.0844
_cell_length_c 8.3522
_cell_angle_alpha 90.00
_cell_angle_beta 90.09
_cell_angle_gamma 90.00
_space_group_name_H-M_alt 'C 1 2/m 1'
_space_group_IT_number 12
loop_
_space_group_symop_operation_xyz
'x,y,z'
'-x,-y,-z'
'-x,y,-z'
'x,-y,z'
'x+1/2,y+1/2,z'
'-x+1/2,-y+1/2,-z'
'-x+1/2,y+1/2,-z'
'x+1/2,-y+1/2,z'
loop_
_atom_site_label
_atom_site_type_symbol
_atom_site_fract_x
_atom_site_fract_y
_atom_site_fract_z
V1 V 0.1208 0.0000 0.3825
Co1 Co 0.0000 0.0000 0.0000
Co2 Co 0.0000 0.5000 0.5000
Co3 Co 0.1355 0.2503 0.7526
As1 As 0.1231 0.5000 0.1156
O1 O 0.0018 0.0000 0.7534
O2 O 0.0042 0.5000 0.2485
O3 O 0.1164 0.2324 0.5036
O4 O 0.1203 0.2648 0.9996
O5 O 0.2460 0.5000 0.2318
O6 O 0.2490 0.0000 0.2732
```

Largest 10 diffraction maxima, by intensity, 15 to 90 degrees two-theta:
index  Position (°2θ)  I_rel
2 2 -1  34.98  100
3 1 1  29.35  67
4 2 -4  62.73  62
2 0 3  35.76  53
4 2 0  43.04  44
1 1 -2  27.01  43
4 0 0  30.77  27
1 1 3  36.32  25
0 4 0  60.90  24
6 2 -1  57.42  18